Entry 1:
# KCuPtSe2
Computed powder XRD pattern, a wavelength of 1.5418 Å. Input: DFT lattice parameters and positions (GGA-PBE).
Peak positions follow from Bragg's law for the DFT cell and can differ from measured ones.

The 10 most intense peaks (2θ from 10° to 90°), sorted by position:
d (Å)  intensity
7.117  100
4.146  30
3.582  25
2.623  50
2.614  32
2.211  55
2.073  17
1.925  14
1.816  28
1.624  15

```
KCuPtSe2
1.0
3.8507 0.0000 0.0000
0.0000 4.1459 0.0000
0.0000 0.0000 7.1173
K Cu Pt Se
1 1 1 2
Direct
0.0000 0.0000 0.0000
0.5000 0.0000 0.5000
0.0000 0.5000 0.5000
0.5000 0.5000 0.2714
0.5000 0.5000 0.7286
```

=====

Entry 2:
# VBC3
Computed powder XRD pattern, a wavelength of 1.5418 Å. Input: DFT lattice parameters and positions (GGA-PBE).
Peak positions follow from Bragg's law for the DFT cell and can differ from measured ones.

The 8 most intense peaks (2θ from 10° to 90°), sorted by position:
d (Å)  intensity
3.398  52
2.403  100
1.962  78
1.699  49
1.520  22
1.387  31
1.202  27
1.133  9

```
VBC3
1.0
3.3984 0.0000 0.0000
0.0000 3.3984 0.0000
0.0000 0.0000 3.3984
V B C
1 1 3
Direct
0.0000 0.0000 0.0000
0.5000 0.5000 0.5000
0.0000 0.5000 0.5000
0.5000 0.0000 0.5000
0.5000 0.5000 0.0000
```

=====

Entry 3:
# Tb2Sm2HoEr2
Computed powder XRD pattern, a wavelength of 1.5418 Å. Input: DFT lattice parameters and positions (GGA-PBE).
Peak positions follow from Bragg's law for the DFT cell and can differ from measured ones.

The 10 most intense peaks (2θ from 10° to 90°), sorted by position:
d (Å)  intensity
2.970  31
2.953  30
2.755  100
2.094  23
1.670  22
1.664  22
1.558  9
1.555  9
1.378  12
1.304  10

```
Tb2Sm2HoEr2
1.0
4.7151 -2.9529 0.0000
4.7151 2.9529 0.0000
-4.1985 0.0000 8.0661
Tb Sm Ho Er
2 2 1 2
Direct
0.2133 0.2133 0.1418
0.7867 0.7867 0.8582
0.3601 0.3601 0.5795
0.6399 0.6399 0.4205
0.5000 0.5000 0.0000
0.0693 0.0693 0.7143
0.9307 0.9307 0.2857
```